No. 1
For Th3Sc4Sb4, a GGA-PBE-relaxed structure gives the calculated powder XRD pattern in this record (Cu Kα).

```
Th3Sc4Sb4
1.0
-4.295 4.295 4.295
4.295 -4.295 4.295
4.295 4.295 -4.295
Th Sc Sb
3 4 4
Cartesian
4.295 0.000 0.000
0.000 4.295 0.000
0.000 0.000 4.295
1.061 1.061 -1.061
1.061 -1.061 1.061
-1.061 1.061 1.061
3.234 3.234 3.234
2.617 2.617 -2.617
2.617 -2.617 2.617
1.678 1.678 1.678
-2.617 2.617 2.617
```

Largest 6 diffraction maxima, by angle, 2θ from 5° to 70°:
25.4 deg, I 32
29.4 deg, I 100
33.0 deg, I 33
44.8 deg, I 20
47.3 deg, I 21
52.2 deg, I 26

---

No. 2
For NpPaSe2N, a GGA-PBE-relaxed structure gives the calculated powder XRD pattern in this record (Cu Kα).

```
NpPaSe2N
1.0
3.972 0.000 0.000
0.000 3.972 0.000
0.000 0.000 14.148
Np Pa Se N
2 2 4 2
Cartesian
0.993 0.993 1.528
2.979 2.979 12.620
0.993 0.993 8.250
2.979 2.979 5.898
0.993 0.993 4.420
0.993 0.993 12.721
2.979 2.979 1.427
2.979 2.979 9.728
0.993 2.979 7.074
2.979 0.993 7.074
```

Largest 6 diffraction maxima, by angle, 2θ from 5° to 70°:
25.2 deg, I 35
25.7 deg, I 77
31.9 deg, I 100
33.9 deg, I 50
41.0 deg, I 45
45.7 deg, I 41

---

No. 3
For Cs2DyInTe4, a GGA-PBE-relaxed structure gives the calculated powder XRD pattern in this record (Cu Kα).

```
Cs2DyInTe4
1.0
0.000 8.010 14.122
3.470 0.000 14.122
3.470 8.010 0.000
Cs Dy In Te
4 2 2 8
Cartesian
2.602 6.008 1.604
4.337 10.013 8.665
2.602 6.008 19.580
4.337 10.013 26.641
0.867 2.003 3.531
6.072 14.018 24.714
2.602 6.008 10.592
4.337 10.013 17.653
2.674 3.686 5.110
4.266 7.691 12.171
2.531 8.329 5.110
2.531 3.686 16.074
4.409 12.335 12.171
4.409 7.691 23.135
2.674 8.329 16.074
4.266 12.335 23.135
```

Largest 6 diffraction maxima, by angle, 2θ from 5° to 70°:
12.5 deg, I 58
21.9 deg, I 59
23.0 deg, I 100
26.3 deg, I 100
32.0 deg, I 67
41.2 deg, I 64

---

No. 4
For Rb3Nd2SbTe6, a GGA-PBE-relaxed structure gives the calculated powder XRD pattern in this record (Cu Kα).

```
Rb3Nd2SbTe6
1.0
4.012 -6.949 0.000
4.012 6.949 0.000
-2.679 0.000 8.540
Rb Nd Sb Te
3 2 1 6
Cartesian
0.000 0.000 0.000
4.012 2.338 0.000
4.012 -2.338 0.000
2.673 4.636 4.270
2.673 -4.636 4.270
2.673 0.000 4.270
1.368 2.262 2.553
0.063 0.000 5.992
1.368 -2.262 2.553
3.977 2.262 5.988
5.282 0.000 2.548
3.977 -2.262 5.988
```

Largest 6 diffraction maxima, by angle, 2θ from 5° to 70°:
10.4 deg, I 21
26.2 deg, I 100
35.9 deg, I 33
38.9 deg, I 38
47.5 deg, I 19
63.0 deg, I 16

---

No. 5
For In3ClF3, a GGA-PBE-relaxed structure gives the calculated powder XRD pattern in this record (Cu Kα).

```
In3ClF3
1.0
3.607 2.083 6.251
-3.607 2.083 6.251
0.000 -4.166 6.251
In Cl F
6 2 6
Cartesian
-2.042 -0.243 7.870
-0.810 -1.890 10.883
1.232 -1.647 7.870
-1.232 1.647 10.883
0.810 1.890 7.870
2.042 0.243 10.883
0.000 0.000 2.791
0.000 0.000 15.962
-1.695 0.321 5.607
0.569 -1.629 5.607
-1.126 -1.307 13.146
1.126 1.307 5.607
-0.569 1.629 13.146
1.695 -0.321 13.146
```

Largest 6 diffraction maxima, by angle, 2θ from 5° to 70°:
24.7 deg, I 17
28.6 deg, I 100
38.1 deg, I 21
39.3 deg, I 21
50.6 deg, I 22
52.8 deg, I 14

---

No. 6
For La3Sm2Hg3, a GGA-PBE-relaxed structure gives the calculated powder XRD pattern in this record (Cu Kα).

```
La3Sm2Hg3
1.0
3.857 0.000 0.000
0.000 5.596 0.000
0.000 0.000 22.870
La Sm Hg
6 4 6
Cartesian
0.000 0.000 0.000
0.000 2.798 2.779
0.000 2.798 20.091
1.929 0.000 8.656
1.929 0.000 14.214
1.929 2.798 11.435
0.000 0.000 5.350
0.000 0.000 17.520
1.929 2.798 6.085
1.929 2.798 16.785
0.000 0.000 11.435
0.000 2.798 8.621
0.000 2.798 14.248
1.929 0.000 2.814
1.929 0.000 20.056
1.929 2.798 0.000
```

Largest 6 diffraction maxima, by angle, 2θ from 5° to 70°:
31.3 deg, I 24
32.0 deg, I 27
32.2 deg, I 100
45.4 deg, I 17
56.3 deg, I 15
57.2 deg, I 20

---

No. 7
For SrGaAsO, a GGA-PBE-relaxed structure gives the calculated powder XRD pattern in this record (Cu Kα).

```
SrGaAsO
1.0
4.063 0.000 0.000
-2.032 3.519 0.000
0.000 0.000 12.001
Sr Ga As O
2 2 2 2
Cartesian
0.000 2.346 0.000
2.032 1.173 6.001
0.000 0.000 2.631
0.000 0.000 8.632
0.000 2.346 3.537
2.032 1.173 9.537
0.000 0.000 0.746
0.000 0.000 6.747
```

Largest 6 diffraction maxima, by angle, 2θ from 5° to 70°:
26.4 deg, I 81
29.4 deg, I 66
33.9 deg, I 100
44.6 deg, I 83
52.6 deg, I 45
54.5 deg, I 44

---

No. 8
For RbAg2BrF2, a GGA-PBE-relaxed structure gives the calculated powder XRD pattern in this record (Cu Kα).

```
RbAg2BrF2
1.0
5.482 0.000 0.000
0.000 5.973 0.000
-2.008 0.000 9.201
Rb Ag Br F
2 4 2 4
Cartesian
0.205 1.493 3.809
3.269 4.479 5.392
0.068 0.008 7.889
0.068 2.978 7.889
3.406 2.994 1.312
3.406 5.964 1.312
1.046 4.479 0.675
2.428 1.493 8.526
-0.747 1.493 6.300
0.575 4.479 6.068
2.899 1.493 3.133
4.221 4.479 2.901
```

Largest 6 diffraction maxima, by angle, 2θ from 5° to 70°:
9.6 deg, I 100
17.3 deg, I 65
22.9 deg, I 30
24.4 deg, I 37
25.7 deg, I 34
34.8 deg, I 45

---

No. 9
For Dy4Bi3Pb, a GGA-PBE-relaxed structure gives the calculated powder XRD pattern in this record (Cu Kα).

```
Dy4Bi3Pb
1.0
6.322 0.000 0.000
0.000 6.322 0.000
0.000 0.000 6.322
Dy Bi Pb
4 3 1
Cartesian
0.000 0.000 0.000
0.000 3.161 3.161
3.161 0.000 3.161
3.161 3.161 0.000
0.000 0.000 3.161
0.000 3.161 0.000
3.161 0.000 0.000
3.161 3.161 3.161
```

Largest 6 diffraction maxima, by angle, 2θ from 5° to 70°:
24.4 deg, I 3
28.2 deg, I 100
40.3 deg, I 78
50.0 deg, I 28
58.4 deg, I 13
66.1 deg, I 37

---

No. 10
For SmCd2In2, a GGA-PBE-relaxed structure gives the calculated powder XRD pattern in this record (Cu Kα).

```
SmCd2In2
1.0
5.151 0.000 0.000
-2.575 4.461 0.000
0.000 0.000 12.538
Sm Cd In
2 4 4
Cartesian
0.000 0.000 3.134
0.000 0.000 9.403
0.000 2.974 1.445
0.000 2.974 4.824
2.575 1.487 7.714
2.575 1.487 11.093
0.000 0.000 0.000
0.000 0.000 6.269
0.000 2.974 9.403
2.575 1.487 3.134
```

Largest 6 diffraction maxima, by angle, 2θ from 5° to 70°:
29.3 deg, I 60
34.8 deg, I 100
35.0 deg, I 54
46.1 deg, I 17
50.2 deg, I 19
62.5 deg, I 37

---

No. 11
For BaAgAu, a GGA-PBE-relaxed structure gives the calculated powder XRD pattern in this record (Cu Kα).

```
BaAgAu
1.0
9.915 0.000 0.000
0.000 8.494 0.000
-2.404 0.000 4.258
Ba Ag Au
4 4 4
Cartesian
1.858 0.000 1.055
0.696 4.247 3.203
6.815 4.247 1.055
5.653 0.000 3.203
0.000 2.850 0.000
0.000 5.644 0.000
4.957 1.397 0.000
4.957 7.097 0.000
-1.202 1.439 2.129
-1.202 7.055 2.129
3.756 2.808 2.129
3.756 5.686 2.129
```

Largest 6 diffraction maxima, by angle, 2θ from 5° to 70°:
20.6 deg, I 15
29.5 deg, I 100
36.7 deg, I 67
47.8 deg, I 17
56.8 deg, I 31
61.7 deg, I 16

---

No. 12
For Ti2Nb2Rh, a GGA-PBE-relaxed structure gives the calculated powder XRD pattern in this record (Cu Kα).

```
Ti2Nb2Rh
1.0
3.192 0.000 0.000
0.000 3.192 0.000
0.000 0.000 16.247
Ti Nb Rh
4 4 2
Cartesian
0.000 0.000 1.548
0.000 0.000 14.699
1.596 1.596 6.575
1.596 1.596 9.672
0.000 0.000 4.889
0.000 0.000 11.359
1.596 1.596 3.235
1.596 1.596 13.012
0.000 0.000 8.124
1.596 1.596 0.000
```

Largest 6 diffraction maxima, by angle, 2θ from 5° to 70°:
21.9 deg, I 6
28.5 deg, I 12
39.6 deg, I 100
39.9 deg, I 49
56.7 deg, I 8
57.8 deg, I 16